Simulated powder diffractogram of TiFeP2O8 for Cu Kα (weighted mean of Kα1 and Kα2), from the GGA+U geometry in Alexandria.
Neutral-atom scattering factors, no anomalous dispersion.

```
data_TiFeP2O8
_chemical_formula_sum 'Ti2 Fe2 P4 O16'
_space_group_name_H-M_alt 'P 1 21/m 1'
_space_group_IT_number 11
_cell_length_a 4.9842
_cell_length_b 6.0138
_cell_length_c 9.9837
_cell_angle_alpha 90.00
_cell_angle_beta 90.48
_cell_angle_gamma 90.00
loop_
_space_group_symop_operation_xyz
'x,y,z'
'-x,-y,-z'
'-x,y+1/2,-z'
'x,-y+1/2,z'
loop_
_atom_site_label
_atom_site_fract_x
_atom_site_fract_y
_atom_site_fract_z
Ti1 0.0382 0.2500 0.2239
Fe1 0.4660 0.2500 0.7284
P1 0.0607 0.7500 0.0965
P2 0.3813 0.7500 0.6018
O1 0.1411 0.7500 0.9457
O2 0.1995 0.5455 0.1678
O3 0.2257 0.5543 0.6720
O4 0.2410 0.2500 0.8924
O5 0.3210 0.2500 0.3524
O6 0.3587 0.7500 0.4518
```

Largest 10 diffraction maxima, sorted by position, 2θ from 10° to 80°:
hkl  d_spacing  Rel. int.
0 0 2  4.992  94.8
1 0 -1  4.474  56.1
1 0 1  4.444  78.2
0 1 2  3.840  49.7
1 1 -1  3.590  33.3
1 1 1  3.574  68.5
0 2 0  3.007  100.0
1 1 -3  2.522  61.3
1 1 3  2.506  57.8
1 2 1  2.493  45.8